Diffraction record for Na2FeI5. The X-ray powder pattern is simulated, not measured: it uses a crystal structure in Alexandria, relaxed with GGA-PBE and CuKα.
Kinematic intensities with the Lorentz-polarization factor, no thermal factor.

Cell and atoms:
Cell: 11.6245 11.6245 16.5156 Å, 119.84 119.84 51.72°
Element x y z (fractional)
Na 0.0179 0.7390 0.1883
Na 0.1378 0.7925 0.5377
Na 0.2075 0.8622 0.9623
Na 0.2610 0.9821 0.3117
Na 0.7390 0.0179 0.6883
Na 0.7925 0.1378 0.0377
Na 0.8622 0.2075 0.4623
Na 0.9821 0.2610 0.8117
Fe 0.2168 0.4387 0.6916
Fe 0.4387 0.2168 0.1916
Fe 0.5613 0.7832 0.8084
Fe 0.7832 0.5613 0.3084
I 0.0419 0.3652 0.6821
I 0.0489 0.6842 0.6386
I 0.0999 0.8556 0.0989
I 0.1444 0.9001 0.4011
I 0.2277 0.3888 0.0791
I 0.3158 0.9511 0.8614
I 0.3652 0.0419 0.1821
I 0.3784 0.4935 0.8651
I 0.3888 0.2277 0.5791
I 0.4935 0.3784 0.3651
I 0.5065 0.6216 0.6349
I 0.6112 0.7723 0.4209
I 0.6216 0.5065 0.1349
I 0.6348 0.9581 0.8179
I 0.6842 0.0489 0.1386
I 0.7723 0.6112 0.9209
I 0.8556 0.0999 0.5989
I 0.9001 0.1444 0.9011
I 0.9511 0.3158 0.3614
I 0.9581 0.6348 0.3179

Peak list (10 most intense, 2θ from 5° to 70°, in order of rising 2θ)
- d 5.521, 16.05 deg, intensity 47
- d 4.758, 18.65 deg, intensity 49
- d 4.627, 19.18 deg, intensity 49
- d 3.869, 22.99 deg, intensity 61
- d 3.729, 23.86 deg, intensity 100
- d 3.669, 24.26 deg, intensity 76
- d 3.440, 25.90 deg, intensity 46
- d 3.368, 26.46 deg, intensity 80
- d 3.319, 26.87 deg, intensity 45
- d 3.291, 27.09 deg, intensity 44

Diffraction record for Eu9Ni26P12. The X-ray powder pattern is simulated, not measured: it uses a crystal structure in Alexandria, relaxed with GGA-PBE and CuKα.
Kinematic intensities with the Lorentz-polarization factor, no thermal factor.

Cell and atoms:
Cell: 14.3883 14.3883 3.8646 Å, 90.00 90.00 120.00°
Element x y z (fractional)
Eu 0.1801 0.0900 0.0000
Eu 0.2423 0.4846 0.5000
Eu 0.2423 0.7577 0.5000
Eu 0.5154 0.7577 0.5000
Eu 0.5220 0.0440 0.5000
Eu 0.5220 0.4780 0.5000
Eu 0.9100 0.0900 0.0000
Eu 0.9100 0.8199 0.0000
Eu 0.9560 0.4780 0.5000
Ni 0.0000 0.0000 0.5000
Ni 0.0069 0.2866 0.5000
Ni 0.0069 0.7203 0.5000
Ni 0.1404 0.5702 0.0000
Ni 0.1430 0.2859 0.0000
Ni 0.1430 0.8570 0.0000
Ni 0.2797 0.2866 0.5000
Ni 0.2797 0.9931 0.5000
Ni 0.3333 0.6667 0.0000
Ni 0.4074 0.1198 0.0000
Ni 0.4074 0.2876 0.0000
Ni 0.4298 0.5702 0.0000
Ni 0.4298 0.8596 0.0000
Ni 0.5347 0.2673 0.5000
Ni 0.6116 0.2233 0.0000
Ni 0.6116 0.3884 0.0000
Ni 0.7124 0.1198 0.0000
Ni 0.7124 0.5926 0.0000
Ni 0.7134 0.7203 0.5000
Ni 0.7134 0.9931 0.5000
Ni 0.7141 0.8570 0.0000
Ni 0.7327 0.2673 0.5000
Ni 0.7327 0.4653 0.5000
Ni 0.7767 0.3884 0.0000
Ni 0.8802 0.2876 0.0000
Ni 0.8802 0.5926 0.0000
P 0.0582 0.3879 0.0000
P 0.0582 0.6703 0.0000
P 0.0927 0.1853 0.5000
P 0.0927 0.9073 0.5000
P 0.3297 0.3879 0.0000
P 0.3297 0.9418 0.0000
P 0.3614 0.1807 0.5000
P 0.6121 0.6703 0.0000
P 0.6121 0.9418 0.0000
P 0.8147 0.9073 0.5000
P 0.8193 0.1807 0.5000
P 0.8193 0.6386 0.5000

Peak list (10 most intense, 2θ from 5° to 70°, in order of rising 2θ)
- d 3.115, 28.66 deg, intensity 10
- d 2.719, 32.94 deg, intensity 9
- d 2.576, 34.83 deg, intensity 24
- d 2.425, 37.07 deg, intensity 100
- d 2.224, 40.57 deg, intensity 14
- d 2.049, 44.21 deg, intensity 21
- d 1.932, 47.03 deg, intensity 23
- d 1.799, 50.76 deg, intensity 15
- d 1.617, 56.95 deg, intensity 19
- d 1.406, 66.52 deg, intensity 12

Diffraction record for Li4HgBi2. The X-ray powder pattern is simulated, not measured: it uses a crystal structure in Alexandria, relaxed with GGA-PBE and CuKα.
Kinematic intensities with the Lorentz-polarization factor, no thermal factor.

Cell and atoms:
Cell: 4.7561 4.7561 6.9013 Å, 90.00 90.00 90.00°
Element x y z (fractional)
Li 0.0000 0.5000 0.2264
Li 0.0000 0.5000 0.7736
Li 0.5000 0.0000 0.2264
Li 0.5000 0.0000 0.7736
Hg 0.0000 0.0000 0.5000
Bi 0.0000 0.0000 0.0000
Bi 0.5000 0.5000 0.5000

Peak list (10 most intense, 2θ from 5° to 70°, in order of rising 2θ)
- d 6.901, 12.83 deg, intensity 29
- d 4.756, 18.66 deg, intensity 26
- d 3.916, 22.71 deg, intensity 37
- d 3.451, 25.82 deg, intensity 53
- d 3.363, 26.50 deg, intensity 100
- d 2.408, 37.34 deg, intensity 95
- d 2.378, 37.83 deg, intensity 46
- d 1.958, 46.37 deg, intensity 46
- d 1.535, 60.29 deg, intensity 22
- d 1.379, 67.99 deg, intensity 35

Diffraction record for Ta4HgTe8. The X-ray powder pattern is simulated, not measured: it uses a crystal structure in Alexandria, relaxed with GGA-PBE and CuKα.
Kinematic intensities with the Lorentz-polarization factor, no thermal factor.

Cell and atoms:
Cell: 9.5994 9.5994 13.3748 Å, 129.85 129.85 22.04°
Element x y z (fractional)
Ta 0.1608 0.1608 0.4753
Ta 0.3176 0.3176 0.1338
Ta 0.6824 0.6824 0.8662
Ta 0.8392 0.8392 0.5247
Hg 0.0000 0.0000 0.0000
Te 0.0359 0.0359 0.7421
Te 0.3159 0.3159 0.9254
Te 0.3492 0.3492 0.6931
Te 0.3737 0.3737 0.4018
Te 0.6263 0.6263 0.5982
Te 0.6508 0.6508 0.3069
Te 0.6841 0.6841 0.0746
Te 0.9641 0.9641 0.2579

Peak list (10 most intense, 2θ from 5° to 70°, in order of rising 2θ)
- d 3.145, 28.38 deg, intensity 33
- d 3.112, 28.69 deg, intensity 67
- d 2.906, 30.77 deg, intensity 83
- d 2.832, 31.60 deg, intensity 92
- d 2.538, 35.37 deg, intensity 45
- d 2.488, 36.10 deg, intensity 31
- d 2.408, 37.34 deg, intensity 100
- d 2.379, 37.81 deg, intensity 38
- d 1.920, 47.33 deg, intensity 65
- d 1.835, 49.70 deg, intensity 37

Diffraction record for Re2Os5. The X-ray powder pattern is simulated, not measured: it uses a crystal structure in Alexandria, relaxed with GGA-PBE and CuKα.
Kinematic intensities with the Lorentz-polarization factor, no thermal factor.

Cell and atoms:
Cell: 9.1974 9.1974 9.1974 Å, 162.85 153.10 32.07°
Element x y z (fractional)
Re 0.1453 0.1453 0.0000
Re 0.8547 0.8547 0.0000
Os 0.0000 0.5000 0.5000
Os 0.2947 0.2947 0.0000
Os 0.4298 0.9298 0.5000
Os 0.5702 0.0702 0.5000
Os 0.7053 0.7053 0.0000

Peak list (10 most intense, 2θ from 5° to 70°, in order of rising 2θ)
- d 2.710, 33.06 deg, intensity 9
- d 2.234, 40.38 deg, intensity 93
- d 2.175, 41.52 deg, intensity 100
- d 2.167, 41.68 deg, intensity 42
- d 2.139, 42.25 deg, intensity 50
- d 2.046, 44.26 deg, intensity 8
- d 1.817, 50.20 deg, intensity 14
- d 1.597, 57.73 deg, intensity 15
- d 1.522, 60.85 deg, intensity 28
- d 1.371, 68.43 deg, intensity 12

Diffraction record for AlCd2W. The X-ray powder pattern is simulated, not measured: it uses a crystal structure in Alexandria, relaxed with GGA-PBE and CuKα.
Kinematic intensities with the Lorentz-polarization factor, no thermal factor.

Cell and atoms:
Cell: 5.0200 5.0200 5.3992 Å, 99.71 99.71 33.31°
Element x y z (fractional)
Al 0.0000 0.0000 0.0000
Cd 0.2464 0.2464 0.6874
Cd 0.4897 0.4897 0.4536
W 0.7399 0.7399 0.1688

Peak list (10 most intense, 2θ from 5° to 70°, in order of rising 2θ)
- d 5.315, 16.68 deg, intensity 17
- d 4.734, 18.74 deg, intensity 35
- d 2.514, 35.72 deg, intensity 55
- d 2.497, 35.96 deg, intensity 16
- d 2.395, 37.56 deg, intensity 100
- d 2.367, 38.01 deg, intensity 49
- d 2.161, 41.81 deg, intensity 35
- d 2.060, 43.95 deg, intensity 64
- d 1.526, 60.70 deg, intensity 21
- d 1.458, 63.82 deg, intensity 22